Simulated PXRD pattern of Rb2Sb2OF10 for Cu Kα X-rays, from a crystal structure in Alexandria, relaxed with GGA-PBE.
Lines closer than 0.1° are merged.

Cell and atoms:
```
data_Rb2Sb2OF10
_chemical_formula_sum 'Rb8 Sb8 O4 F40'
_symmetry_space_group_name_H-M 'P 1'
_symmetry_Int_Tables_number 1
_cell_length_a 8.254
_cell_length_b 15.610
_cell_length_c 11.175
_cell_angle_alpha 90.00
_cell_angle_beta 130.61
_cell_angle_gamma 90.00
loop_
_symmetry_equiv_pos_as_xyz
'x,y,z'
loop_
_atom_site_label
_atom_site_type_symbol
_atom_site_fract_x
_atom_site_fract_y
_atom_site_fract_z
Rb1 Rb 0.031 0.043 0.325
Rb2 Rb 0.031 0.457 0.825
Rb3 Rb 0.286 0.186 0.024
Rb4 Rb 0.286 0.314 0.524
Rb5 Rb 0.714 0.686 0.476
Rb6 Rb 0.714 0.814 0.976
Rb7 Rb 0.969 0.543 0.175
Rb8 Rb 0.969 0.957 0.675
Sb1 Sb 0.168 0.745 0.958
Sb2 Sb 0.168 0.755 0.458
Sb3 Sb 0.437 0.571 0.700
Sb4 Sb 0.437 0.929 0.200
Sb5 Sb 0.563 0.071 0.800
Sb6 Sb 0.563 0.429 0.300
Sb7 Sb 0.832 0.245 0.542
Sb8 Sb 0.832 0.255 0.042
O1 O 0.204 0.653 0.575
O2 O 0.204 0.847 0.075
O3 O 0.796 0.153 0.925
O4 O 0.796 0.347 0.425
F1 F 0.021 0.690 0.020
F2 F 0.021 0.810 0.520
F3 F 0.103 0.208 0.225
F4 F 0.103 0.292 0.725
F5 F 0.103 0.645 0.832
F6 F 0.103 0.855 0.332
F7 F 0.275 0.504 0.735
F8 F 0.275 0.996 0.235
F9 F 0.292 0.703 0.377
F10 F 0.292 0.797 0.877
F11 F 0.317 0.000 0.016
F12 F 0.317 0.500 0.516
F13 F 0.334 0.512 0.175
F14 F 0.334 0.988 0.675
F15 F 0.380 0.127 0.826
F16 F 0.380 0.373 0.326
F17 F 0.427 0.132 0.605
F18 F 0.427 0.368 0.105
F19 F 0.434 0.694 0.132
F20 F 0.434 0.806 0.632
F21 F 0.566 0.194 0.368
F22 F 0.566 0.306 0.868
F23 F 0.573 0.632 0.895
F24 F 0.573 0.868 0.395
F25 F 0.620 0.627 0.674
F26 F 0.620 0.873 0.174
F27 F 0.666 0.012 0.325
F28 F 0.666 0.488 0.825
F29 F 0.683 0.000 0.984
F30 F 0.683 0.500 0.484
F31 F 0.708 0.203 0.123
F32 F 0.708 0.297 0.623
F33 F 0.725 0.004 0.765
F34 F 0.725 0.496 0.265
F35 F 0.897 0.145 0.668
F36 F 0.897 0.355 0.168
F37 F 0.897 0.708 0.275
F38 F 0.897 0.792 0.775
F39 F 0.979 0.190 0.480
F40 F 0.979 0.310 0.980
```

Main lines, by angle (2θ = 15–90°):
(hkl)	2θ/deg	d [Å]	Rel. int.
1 1 0	15.24	5.815	14.2
1 2 -1	15.67	5.653	18.5
2 0 -2	21.68	4.100	100.0
1 1 1	23.19	3.836	22.4
1 3 -2	23.37	3.807	14.5
0 2 2	23.87	3.727	76.2
1 4 -1	25.26	3.525	93.3
0 3 2	27.12	3.288	27.4
2 2 0	30.75	2.908	17.4
2 2 -4	34.10	2.629	18.9
3 4 -3	40.28	2.239	24.8
2 1 2	46.25	1.963	14.8